1.
For YFe4Co, a PBE-relaxed structure gives the theoretical powder XRD pattern in this record (copper Kα).
No peak broadening, texture or thermal motion is included.

Structure:
```
6
Lattice="0.0000 3.4930 3.4930 3.4930 0.0000 3.4930 3.4930 3.4930 0.0000" Properties=species:S:1:pos:R:3 pbc="T T T"
Y 0.0000 0.0000 0.0000
Fe 2.6249 2.6249 2.6249
Fe 4.3610 4.3610 2.6249
Fe 4.3610 2.6249 4.3610
Fe 2.6249 4.3610 4.3610
Co 5.2394 5.2394 5.2394
```

Most intense lines, 10 to 90 degrees two-theta, low angle first:
2θ = 22.04°, I 2; 2θ = 25.50°, I 2; 2θ = 36.37°, I 37; 2θ = 42.94°, I 100; 2θ = 44.95°, I 32; 2θ = 52.39°, I 2; 2θ = 65.45°, I 12; 2θ = 69.98°, I 28; 2θ = 77.25°, I 23; 2θ = 88.52°, I 5

---

2.
For NpScHg, a PBE-relaxed structure gives the theoretical powder XRD pattern in this record (copper Kα).
No peak broadening, texture or thermal motion is included.

Structure:
```
12
Lattice="4.8295 0.0000 0.0000 0.0000 5.0627 0.0000 0.0000 0.0000 10.5112" Properties=species:S:1:pos:R:3 pbc="T T T"
Np 0.0000 0.0000 0.0000
Np 0.0000 2.5313 0.0000
Np 2.4148 0.0000 0.0000
Np 2.4148 2.5313 0.0000
Sc 0.0000 1.2657 2.5580
Sc 0.0000 3.7970 7.9532
Sc 2.4148 1.2657 7.9532
Sc 2.4148 3.7970 2.5580
Hg 0.0000 1.2657 6.2344
Hg 0.0000 3.7970 4.2768
Hg 2.4148 1.2657 4.2768
Hg 2.4148 3.7970 6.2344
```

Most intense lines, 10 to 90 degrees two-theta, low angle first:
2θ = 16.87°, I 100; 2θ = 25.42°, I 39; 2θ = 30.72°, I 50; 2θ = 36.31°, I 54; 2θ = 36.51°, I 71; 2θ = 37.24°, I 49; 2θ = 41.14°, I 23; 2θ = 43.04°, I 38; 2θ = 53.14°, I 50; 2θ = 58.18°, I 23

---

3.
For LaTaOs, a PBE-relaxed structure gives the theoretical powder XRD pattern in this record (copper Kα).
No peak broadening, texture or thermal motion is included.

Structure:
```
6
Lattice="5.1723 0.0000 0.0000 0.0000 4.9112 0.0000 -1.4595 0.0000 5.7378" Properties=species:S:1:pos:R:3 pbc="T T T"
La 0.5764 1.2278 2.4612
La 3.1364 3.6834 3.2767
Ta 0.3099 3.6834 5.6715
Ta 3.4029 1.2278 0.0664
Os -0.6035 1.2278 5.2687
Os 4.3163 3.6834 0.4692
```

Most intense lines, 10 to 90 degrees two-theta, low angle first:
2θ = 15.44°, I 100; 2θ = 31.18°, I 52; 2θ = 31.89°, I 29; 2θ = 32.12°, I 31; 2θ = 36.26°, I 31; 2θ = 36.59°, I 66; 2θ = 39.91°, I 31; 2θ = 39.99°, I 46; 2θ = 40.40°, I 56; 2θ = 48.82°, I 30

---

4.
For La2C3, a PBE-relaxed structure gives the theoretical powder XRD pattern in this record (copper Kα).
No peak broadening, texture or thermal motion is included.

Structure:
```
20
Lattice="-4.4087 4.4087 4.4087 4.4087 -4.4087 4.4087 4.4087 4.4087 -4.4087" Properties=species:S:1:pos:R:3 pbc="T T T"
La 2.6657 1.7430 -1.7430
La 4.8701 -0.4614 0.4614
La 1.7430 -1.7430 2.6657
La 1.7430 1.7430 1.7430
La -1.7430 2.6657 1.7430
La 0.4614 4.8701 -0.4614
La -0.4614 0.4614 4.8701
La 3.9473 3.9473 3.9473
C 4.4087 -2.2044 2.6415
C 4.4087 -2.2044 3.9716
C 2.6415 4.4087 -2.2044
C 3.9716 4.4087 -2.2044
C 4.4087 2.2044 0.4371
C 4.4087 2.2044 1.7672
C 2.2044 0.4371 4.4087
C 2.2044 1.7672 4.4087
C 0.4371 4.4087 2.2044
C 1.7672 4.4087 2.2044
C -2.2044 2.6415 4.4087
C -2.2044 3.9716 4.4087
```

Most intense lines, 10 to 90 degrees two-theta, low angle first:
2θ = 24.73°, I 45; 2θ = 28.63°, I 87; 2θ = 32.10°, I 100; 2θ = 38.19°, I 53; 2θ = 48.42°, I 26; 2θ = 50.72°, I 16; 2θ = 52.95°, I 65; 2θ = 57.22°, I 26; 2θ = 69.03°, I 19; 2θ = 79.96°, I 19